1.
Simulated X-ray diffraction stick pattern
Compound: Ac2TbHg2
Radiation: copper Kα
Structure: the PBE geometry in Alexandria

Crystal structure
Unit cell a=4.1607 b=7.5733 c=10.8314 alpha=90.00 beta=90.00 gamma=90.00
Fractional coordinates of all 10 atoms:
Ac: 0.0000 0.0000 0.2090
Ac: 0.0000 0.0000 0.7910
Ac: 0.5000 0.5000 0.2910
Ac: 0.5000 0.5000 0.7090
Tb: 0.0000 0.5000 0.0000
Tb: 0.5000 0.0000 0.5000
Hg: 0.0000 0.2928 0.5000
Hg: 0.0000 0.7072 0.5000
Hg: 0.5000 0.2072 0.0000
Hg: 0.5000 0.7928 0.0000

The 10 most intense peaks (2θ from 10° to 90°), sorted by position:
- 2θ = 27.4°, rel. 186
- 2θ = 28.8°, rel. 413
- 2θ = 29.5°, rel. 1000
- 2θ = 32.8°, rel. 276
- 2θ = 33.1°, rel. 949
- 2θ = 43.5°, rel. 271
- 2θ = 43.8°, rel. 238
- 2θ = 53.5°, rel. 401
- 2θ = 63.4°, rel. 161
- 2θ = 68.1°, rel. 201



2.
Simulated X-ray diffraction stick pattern
Compound: BaMg2Al2Ag
Radiation: copper Kα
Structure: the PBE geometry in Alexandria

Crystal structure
Unit cell a=5.0372 b=5.0372 c=6.5655 alpha=90.00 beta=90.00 gamma=90.00
Fractional coordinates of all 6 atoms:
Ba: 0.0000 0.0000 0.0000
Mg: 0.5000 0.5000 0.2411
Mg: 0.5000 0.5000 0.7589
Al: 0.0000 0.5000 0.5000
Al: 0.5000 0.0000 0.5000
Ag: 0.0000 0.0000 0.5000

The 10 most intense peaks (2θ from 10° to 90°), sorted by position:
- 2θ = 17.6°, rel. 945
- 2θ = 25.0°, rel. 657
- 2θ = 27.2°, rel. 282
- 2θ = 32.6°, rel. 1000
- 2θ = 35.6°, rel. 547
- 2θ = 40.0°, rel. 239
- 2θ = 45.4°, rel. 271
- 2θ = 49.0°, rel. 613
- 2θ = 51.3°, rel. 187
- 2θ = 73.7°, rel. 177



3.
Simulated X-ray diffraction stick pattern
Compound: Na2BRu2
Radiation: copper Kα
Structure: the PBE geometry in Alexandria

Crystal structure
Unit cell a=5.5734 b=5.5734 c=5.1719 alpha=90.00 beta=90.00 gamma=90.00
Fractional coordinates of all 10 atoms:
Na: 0.1769 0.3231 0.0000
Na: 0.3231 0.8231 0.0000
Na: 0.6769 0.1769 0.0000
Na: 0.8231 0.6769 0.0000
B: 0.0000 0.0000 0.5000
B: 0.5000 0.5000 0.5000
Ru: 0.1537 0.6537 0.5000
Ru: 0.3463 0.1537 0.5000
Ru: 0.6537 0.8463 0.5000
Ru: 0.8463 0.3463 0.5000

The 10 most intense peaks (2θ from 10° to 90°), sorted by position:
- 2θ = 17.1°, rel. 834
- 2θ = 22.6°, rel. 139
- 2θ = 32.1°, rel. 111
- 2θ = 34.7°, rel. 350
- 2θ = 36.0°, rel. 278
- 2θ = 40.2°, rel. 1000
- 2θ = 50.9°, rel. 207
- 2θ = 51.9°, rel. 125
- 2θ = 63.9°, rel. 130
- 2θ = 65.9°, rel. 219



4.
Simulated X-ray diffraction stick pattern
Compound: SrAsRuO5
Radiation: copper Kα
Structure: the PBE geometry in Alexandria

Crystal structure
Unit cell a=5.8228 b=5.8228 c=7.3119 alpha=104.02 beta=104.02 gamma=106.67
Fractional coordinates of all 16 atoms:
Sr: 0.1673 0.8327 0.7500
Sr: 0.8327 0.1673 0.2500
As: 0.1877 0.8123 0.2500
As: 0.8123 0.1877 0.7500
Ru: 0.5000 0.5000 0.0000
Ru: 0.5000 0.5000 0.5000
O: 0.1082 0.2553 0.9261
O: 0.1824 0.6018 0.3852
O: 0.2553 0.1082 0.4261
O: 0.3982 0.8176 0.1148
O: 0.4311 0.5689 0.7500
O: 0.5689 0.4311 0.2500
O: 0.6018 0.1824 0.8852
O: 0.7447 0.8918 0.5739
O: 0.8176 0.3982 0.6148
O: 0.8918 0.7447 0.0739

The 10 most intense peaks (2θ from 10° to 90°), sorted by position:
- 2θ = 26.4°, rel. 906
- 2θ = 28.1°, rel. 853
- 2θ = 32.0°, rel. 1000
- 2θ = 33.0°, rel. 610
- 2θ = 35.7°, rel. 250
- 2θ = 41.3°, rel. 258
- 2θ = 50.9°, rel. 213
- 2θ = 52.2°, rel. 317
- 2θ = 59.1°, rel. 220
- 2θ = 61.4°, rel. 209



5.
Simulated X-ray diffraction stick pattern
Compound: SmPuAu4
Radiation: copper Kα
Structure: the PBE geometry in Alexandria

Crystal structure
Unit cell a=4.7828 b=8.2915 c=6.8350 alpha=90.00 beta=90.11 gamma=90.00
Fractional coordinates of all 12 atoms:
Sm: 0.0000 0.0000 0.0000
Sm: 0.5000 0.5000 0.0000
Pu: 0.0000 0.0000 0.5000
Pu: 0.5000 0.5000 0.5000
Au: 0.0000 0.3334 0.2516
Au: 0.0000 0.3334 0.7484
Au: 0.0000 0.6666 0.2516
Au: 0.0000 0.6666 0.7484
Au: 0.5000 0.1666 0.2516
Au: 0.5000 0.1666 0.7484
Au: 0.5000 0.8334 0.2516
Au: 0.5000 0.8334 0.7484

The 10 most intense peaks (2θ from 10° to 90°), sorted by position:
- 2θ = 26.1°, rel. 89
- 2θ = 34.0°, rel. 1000
- 2θ = 37.6°, rel. 871
- 2θ = 46.3°, rel. 118
- 2θ = 51.6°, rel. 313
- 2θ = 53.6°, rel. 106
- 2θ = 65.5°, rel. 257
- 2θ = 67.3°, rel. 270
- 2θ = 67.9°, rel. 159
- 2θ = 80.2°, rel. 102



6.
Simulated X-ray diffraction stick pattern
Compound: ErSnPd4
Radiation: copper Kα
Structure: the PBE geometry in Alexandria

Crystal structure
Unit cell a=9.6449 b=3.6448 c=6.5201 alpha=90.00 beta=110.64 gamma=90.00
Fractional coordinates of all 12 atoms:
Er: 0.0000 0.0000 0.0000
Er: 0.5000 0.5000 0.0000
Sn: 0.0000 0.0000 0.5000
Sn: 0.5000 0.5000 0.5000
Pd: 0.1587 0.5000 0.3410
Pd: 0.1696 0.5000 0.8234
Pd: 0.3304 0.0000 0.1766
Pd: 0.3413 0.0000 0.6590
Pd: 0.6587 0.0000 0.3410
Pd: 0.6696 0.0000 0.8234
Pd: 0.8304 0.5000 0.1766
Pd: 0.8413 0.5000 0.6590

The 10 most intense peaks (2θ from 10° to 90°), sorted by position:
- 2θ = 37.0°, rel. 1000
- 2θ = 38.8°, rel. 880
- 2θ = 40.5°, rel. 379
- 2θ = 41.1°, rel. 375
- 2θ = 50.1°, rel. 213
- 2θ = 56.5°, rel. 141
- 2θ = 66.3°, rel. 175
- 2θ = 66.7°, rel. 178
- 2θ = 70.2°, rel. 140
- 2θ = 71.1°, rel. 145



7.
Simulated X-ray diffraction stick pattern
Compound: CuPd2Pt5
Radiation: copper Kα
Structure: the PBE geometry in Alexandria

Crystal structure
Unit cell a=3.9134 b=3.9134 c=15.8774 alpha=90.00 beta=90.00 gamma=90.00
Fractional coordinates of all 16 atoms:
Cu: 0.0000 0.0000 0.0000
Cu: 0.5000 0.5000 0.5000
Pd: 0.0000 0.0000 0.2527
Pd: 0.0000 0.0000 0.7473
Pd: 0.5000 0.5000 0.2473
Pd: 0.5000 0.5000 0.7527
Pt: 0.0000 0.0000 0.5000
Pt: 0.0000 0.5000 0.1215
Pt: 0.0000 0.5000 0.3785
Pt: 0.0000 0.5000 0.6215
Pt: 0.0000 0.5000 0.8785
Pt: 0.5000 0.0000 0.1215
Pt: 0.5000 0.0000 0.3785
Pt: 0.5000 0.0000 0.6215
Pt: 0.5000 0.0000 0.8785
Pt: 0.5000 0.5000 0.0000

The 10 most intense peaks (2θ from 10° to 90°), sorted by position:
- 2θ = 22.4°, rel. 55
- 2θ = 32.4°, rel. 46
- 2θ = 39.7°, rel. 1000
- 2θ = 45.7°, rel. 165
- 2θ = 46.4°, rel. 323
- 2θ = 67.2°, rel. 210
- 2θ = 67.7°, rel. 105
- 2θ = 80.5°, rel. 124
- 2θ = 81.5°, rel. 252
- 2θ = 85.6°, rel. 112



8.
Simulated X-ray diffraction stick pattern
Compound: LiNdAs2Pt5
Radiation: copper Kα
Structure: the PBE geometry in Alexandria

Crystal structure
Unit cell a=4.2016 b=4.2016 c=9.4922 alpha=90.00 beta=90.00 gamma=90.00
Fractional coordinates of all 9 atoms:
Li: 0.0000 0.0000 0.0000
Nd: 0.0000 0.0000 0.5000
As: 0.5000 0.5000 0.1329
As: 0.5000 0.5000 0.8671
Pt: 0.0000 0.5000 0.2726
Pt: 0.0000 0.5000 0.7274
Pt: 0.5000 0.0000 0.2726
Pt: 0.5000 0.0000 0.7274
Pt: 0.5000 0.5000 0.5000

The 10 most intense peaks (2θ from 10° to 90°), sorted by position:
- 2θ = 18.7°, rel. 182
- 2θ = 35.7°, rel. 1000
- 2θ = 37.9°, rel. 131
- 2θ = 41.7°, rel. 344
- 2θ = 43.1°, rel. 420
- 2θ = 58.7°, rel. 151
- 2θ = 62.5°, rel. 140
- 2θ = 66.4°, rel. 122
- 2θ = 67.0°, rel. 114
- 2θ = 74.1°, rel. 248



9.
Simulated X-ray diffraction stick pattern
Compound: Ga3Te9Pd32
Radiation: copper Kα
Structure: the PBE geometry in Alexandria

Crystal structure
Unit cell a=15.1399 b=15.1399 c=15.1399 alpha=29.47 beta=29.47 gamma=29.47
Fractional coordinates of all 44 atoms:
Ga: 0.0000 0.0000 0.0000
Ga: 0.1585 0.1585 0.1585
Ga: 0.6570 0.6570 0.6570
Te: 0.0863 0.4052 0.7283
Te: 0.2265 0.9077 0.5915
Te: 0.3155 0.3155 0.3155
Te: 0.4052 0.7283 0.0863
Te: 0.4995 0.4995 0.4995
Te: 0.5915 0.2265 0.9077
Te: 0.7283 0.0863 0.4052
Te: 0.8156 0.8156 0.8156
Te: 0.9077 0.5915 0.2265
Pd: 0.0051 0.2786 0.5353
Pd: 0.0076 0.3698 0.6452
Pd: 0.0296 0.7745 0.5131
Pd: 0.0377 0.7934 0.2925
Pd: 0.0973 0.0973 0.0973
Pd: 0.1387 0.8803 0.5071
Pd: 0.1760 0.4319 0.8109
Pd: 0.2195 0.2195 0.2195
Pd: 0.2786 0.5353 0.0051
Pd: 0.2840 0.5378 0.8046
Pd: 0.2925 0.0377 0.7934
Pd: 0.3034 0.9442 0.6768
Pd: 0.3698 0.6452 0.0076
Pd: 0.3758 0.3758 0.3758
Pd: 0.4319 0.8109 0.1760
Pd: 0.4392 0.4392 0.4392
Pd: 0.5071 0.1387 0.8803
Pd: 0.5131 0.0296 0.7745
Pd: 0.5353 0.0051 0.2786
Pd: 0.5378 0.8046 0.2840
Pd: 0.5967 0.5967 0.5967
Pd: 0.6452 0.0076 0.3698
Pd: 0.6768 0.3034 0.9442
Pd: 0.7174 0.7174 0.7174
Pd: 0.7745 0.5131 0.0296
Pd: 0.7934 0.2925 0.0377
Pd: 0.8046 0.2840 0.5378
Pd: 0.8109 0.1760 0.4319
Pd: 0.8764 0.8764 0.8764
Pd: 0.8803 0.5071 0.1387
Pd: 0.9413 0.9413 0.9413
Pd: 0.9442 0.6768 0.3034

The 10 most intense peaks (2θ from 10° to 90°), sorted by position:
- 2θ = 35.7°, rel. 173
- 2θ = 38.9°, rel. 1000
- 2θ = 39.7°, rel. 185
- 2θ = 40.6°, rel. 977
- 2θ = 44.3°, rel. 174
- 2θ = 46.4°, rel. 133
- 2θ = 57.5°, rel. 139
- 2θ = 64.4°, rel. 101
- 2θ = 76.4°, rel. 151
- 2θ = 78.9°, rel. 111



10.
Simulated X-ray diffraction stick pattern
Compound: BaAc2ReN5
Radiation: copper Kα
Structure: the PBE geometry in Alexandria

Crystal structure
Unit cell a=7.3308 b=7.3308 c=6.1229 alpha=90.00 beta=90.00 gamma=90.00
Fractional coordinates of all 18 atoms:
Ba: 0.0000 0.0000 0.0000
Ba: 0.5000 0.5000 0.0000
Ac: 0.1771 0.3229 0.5000
Ac: 0.3229 0.8229 0.5000
Ac: 0.6771 0.1771 0.5000
Ac: 0.8229 0.6771 0.5000
Re: 0.0000 0.5000 0.0000
Re: 0.5000 0.0000 0.0000
N: 0.0000 0.0000 0.5000
N: 0.1284 0.6284 0.2259
N: 0.1284 0.6284 0.7741
N: 0.3716 0.1284 0.2259
N: 0.3716 0.1284 0.7741
N: 0.5000 0.5000 0.5000
N: 0.6284 0.8716 0.2259
N: 0.6284 0.8716 0.7741
N: 0.8716 0.3716 0.2259
N: 0.8716 0.3716 0.7741

The 10 most intense peaks (2θ from 10° to 90°), sorted by position:
- 2θ = 27.2°, rel. 250
- 2θ = 28.4°, rel. 1000
- 2θ = 29.2°, rel. 368
- 2θ = 30.9°, rel. 505
- 2θ = 34.6°, rel. 224
- 2θ = 40.3°, rel. 298
- 2θ = 41.7°, rel. 143
- 2θ = 45.9°, rel. 204
- 2θ = 51.2°, rel. 202
- 2θ = 53.7°, rel. 159



11.
Simulated X-ray diffraction stick pattern
Compound: TbNbFe4
Radiation: copper Kα
Structure: the PBE geometry in Alexandria

Crystal structure
Unit cell a=4.9793 b=4.9793 c=8.1994 alpha=90.00 beta=90.00 gamma=120.00
Fractional coordinates of all 12 atoms:
Tb: 0.3333 0.6667 0.0678
Tb: 0.6667 0.3333 0.9322
Nb: 0.3333 0.6667 0.4451
Nb: 0.6667 0.3333 0.5549
Fe: 0.0000 0.0000 0.0000
Fe: 0.0000 0.0000 0.5000
Fe: 0.1676 0.3351 0.7342
Fe: 0.1676 0.8324 0.7342
Fe: 0.3351 0.1676 0.2658
Fe: 0.6649 0.8324 0.7342
Fe: 0.8324 0.1676 0.2658
Fe: 0.8324 0.6649 0.2658

The 10 most intense peaks (2θ from 10° to 90°), sorted by position:
- 2θ = 30.1°, rel. 205
- 2θ = 36.1°, rel. 589
- 2θ = 39.0°, rel. 935
- 2θ = 42.5°, rel. 1000
- 2θ = 43.4°, rel. 609
- 2θ = 66.8°, rel. 364
- 2θ = 69.3°, rel. 220
- 2θ = 72.4°, rel. 258
- 2θ = 76.5°, rel. 224
- 2θ = 89.4°, rel. 172



Copy entry 5 word for word.
Simulated X-ray diffraction stick pattern
Compound: SmPuAu4
Radiation: copper Kα
Structure: the PBE geometry in Alexandria

Crystal structure
Unit cell a=4.7828 b=8.2915 c=6.8350 alpha=90.00 beta=90.11 gamma=90.00
Fractional coordinates of all 12 atoms:
Sm: 0.0000 0.0000 0.0000
Sm: 0.5000 0.5000 0.0000
Pu: 0.0000 0.0000 0.5000
Pu: 0.5000 0.5000 0.5000
Au: 0.0000 0.3334 0.2516
Au: 0.0000 0.3334 0.7484
Au: 0.0000 0.6666 0.2516
Au: 0.0000 0.6666 0.7484
Au: 0.5000 0.1666 0.2516
Au: 0.5000 0.1666 0.7484
Au: 0.5000 0.8334 0.2516
Au: 0.5000 0.8334 0.7484

The 10 most intense peaks (2θ from 10° to 90°), sorted by position:
- 2θ = 26.1°, rel. 89
- 2θ = 34.0°, rel. 1000
- 2θ = 37.6°, rel. 871
- 2θ = 46.3°, rel. 118
- 2θ = 51.6°, rel. 313
- 2θ = 53.6°, rel. 106
- 2θ = 65.5°, rel. 257
- 2θ = 67.3°, rel. 270
- 2θ = 67.9°, rel. 159
- 2θ = 80.2°, rel. 102